# Y2PaO6
Theoretical X-ray powder pattern, Cu Kα (weighted mean of Kα1 and Kα2). Input: the GGA-PBE geometry in Alexandria.

Main lines, by intensity (2θ = 15–90°):
hkl	Position (°2θ)	d (Å)	I (rel.)
1 1 0	28.4	3.143	100
0 1 3	28.7	3.116	98
1 2 3	47.4	1.917	73
1 0 3	33.1	2.710	57
2 1 3	56.1	1.639	45
0 1 1	18.1	4.901	32

Cell lengths 3.8555, 5.4260, 11.4164 Å; angles 90.00, 90.00, 90.00 degrees
Space group Immm (No. 71)
One atom of each set of equivalent atoms:
1 Y 0.0000 0.0000 0.1678 x4
2 Pa 0.0000 0.0000 0.5000 x2
3 O 0.0000 0.2441 0.3392 x8
4 O 0.0000 0.2621 0.0000 x4